The following is a theoretical powder diffractogram of Ag2TeH4O6. It was derived from DFT lattice parameters and positions (PBE), using Cu Kα.

Top 10 peaks for 2θ from 15° to 90°, in order of rising 2θ:
2θ (°)	I/Imax
21.69	100.0
21.95	20.4
28.93	31.1
29.12	64.8
33.76	57.6
37.56	43.8
40.62	20.2
47.30	25.0
49.76	21.8
55.23	20.8

Structural model:
Cell lengths 10.438, 5.606, 9.944 Å; angles 78.95, 31.81, 69.24 degrees
Fractional positions:
Ag  0.396  0.604  0.449
Ag  0.604  0.396  0.551
Ag  0.699  0.801  0.646
Ag  0.801  0.699  0.854
Te  0.233  0.233  0.267
Te  0.983  0.983  0.017
H  0.180  0.183  0.059
H  0.183  0.180  0.578
H  0.191  0.672  0.070
H  0.230  0.768  0.290
H  0.538  0.960  0.482
H  0.672  0.191  0.067
H  0.768  0.230  0.712
H  0.960  0.538  0.020
O  0.132  0.327  0.538
O  0.149  0.597  0.266
O  0.246  0.712  0.923
O  0.262  0.984  0.653
O  0.285  0.862  0.307
O  0.327  0.132  0.004
O  0.597  0.149  0.988
O  0.704  0.943  0.388
O  0.712  0.246  0.118
O  0.862  0.285  0.546
O  0.943  0.704  0.965
O  0.984  0.262  0.101